[1]
This entry pairs a crystal structure of Tl2Te2I with its calculated PXRD pattern. Radiation: Cu Kα (weighted mean of Kα1 and Kα2). Structure: a structure optimized by DFT (PBE).
No peak broadening, texture or thermal motion is included.

Principal peaks in the range 2θ = 10–90°, sorted by position:
18.0°, I = 25, hkl 0 0 2
27.1°, I = 88, hkl 1 1 2
28.5°, I = 100, hkl 2 0 0
30.8°, I = 32, hkl 1 0 3
33.9°, I = 21, hkl 2 0 2
40.7°, I = 38, hkl 2 2 0
42.0°, I = 30, hkl 1 1 4
42.4°, I = 26, hkl 2 1 3
49.6°, I = 34, hkl 3 1 2
59.9°, I = 22, hkl 3 1 4
60.2°, I = 27, hkl 1 1 6
75.2°, I = 18, hkl 3 1 6

Structure:
abc: 6.269 6.269 9.838
angles: 90.00 90.00 90.00
Space group I4/mmm (No. 139)
One atom of each set of equivalent atoms:
Tl (0.000, 0.500, 0.250) (multiplicity 4)
Te (0.000, 0.000, 0.139) (multiplicity 4)
I (0.000, 0.000, 0.500) (multiplicity 2)

[2]
This entry pairs a crystal structure of Tl8Te4I with its calculated PXRD pattern. Radiation: Cu Kα (weighted mean of Kα1 and Kα2). Structure: a structure optimized by DFT (PBE).
No peak broadening, texture or thermal motion is included.

Principal peaks in the range 2θ = 10–90°, sorted by position:
11.0°, I = 41, hkl 1 1 1
21.2°, I = 14, hkl 3 1 1
22.2°, I = 57, hkl 2 2 2
25.7°, I = 100, hkl 4 0 0
33.5°, I = 44, hkl 5 1 1
36.6°, I = 93, hkl 4 4 0
43.2°, I = 20, hkl 6 2 2
45.2°, I = 23, hkl 4 4 4
46.7°, I = 20, hkl 5 5 1
59.5°, I = 24, hkl 8 4 0
65.9°, I = 22, hkl 8 4 4
70.1°, I = 23, hkl 9 5 1

Structure:
abc: 13.892 13.892 13.892
angles: 90.00 90.00 90.00
Space group F-43m (No. 216)
One atom of each set of equivalent atoms:
Tl (0.109, 0.109, 0.391) (multiplicity 16)
Tl (0.139, 0.139, 0.861) (multiplicity 16)
Te (0.128, 0.128, 0.628) (multiplicity 16)
I (0.250, 0.250, 0.250) (multiplicity 4)

[3]
This entry pairs a crystal structure of Tl3Te3I with its calculated PXRD pattern. Radiation: Cu Kα (weighted mean of Kα1 and Kα2). Structure: a structure optimized by DFT (PBE).
No peak broadening, texture or thermal motion is included.

Principal peaks in the range 2θ = 10–90°, sorted by position:
19.8°, I = 28, hkl -2 1 1
23.7°, I = 29, hkl 0 2 0
27.1°, I = 50, hkl 2 0 0
27.5°, I = 63, hkl -2 2 2
28.6°, I = 28, hkl 0 1 2
29.6°, I = 100, hkl 2 -2 1
29.8°, I = 96, hkl 2 0 -3
30.9°, I = 52, hkl 2 1 -1
31.2°, I = 30, hkl -2 3 1
34.1°, I = 52, hkl 0 0 3
40.1°, I = 44, hkl -4 2 2
41.4°, I = 28, hkl 0 3 -3

Structure:
abc: 8.985 9.056 9.407
angles: 90.35 118.03 119.45
Space group P-1 (No. 2)
One atom of each set of equivalent atoms:
Tl (0.134, 0.356, 0.459) (multiplicity 2)
Tl (0.208, 0.735, 0.183) (multiplicity 2)
Tl (0.303, 0.253, 0.838) (multiplicity 2)
Te (0.240, 0.623, 0.820) (multiplicity 2)
Te (0.260, 0.997, 0.506) (multiplicity 2)
Te (0.441, 0.811, 0.653) (multiplicity 2)
I (0.275, 0.372, 0.175) (multiplicity 2)